[1]
Diffraction record for LiCo6Ge6. The XRD peak list is theoretical, not measured: it uses a structure optimized by DFT (PBE) and a wavelength of 1.5418 Å.
Lines closer than 0.1° are merged.

```
LiCo6Ge6
1.0
5.054 0.000 0.000
-2.527 4.377 0.000
0.000 0.000 7.665
Li Co Ge
1 6 6
direct
0.000 0.000 0.000
0.000 0.500 0.250
0.000 0.500 0.750
0.500 0.000 0.250
0.500 0.000 0.750
0.500 0.500 0.250
0.500 0.500 0.750
0.000 0.000 0.331
0.000 0.000 0.669
0.333 0.667 0.000
0.333 0.667 0.500
0.667 0.333 0.000
0.667 0.333 0.500
```

Largest 8 diffraction maxima, in order of rising 2θ, 10 to 90 degrees two-theta:
| h k l | 2θ (°) | I/Imax |
| --- | --- | --- |
| 1 0 0 | 20.29 | 21 |
| 1 1 0 | 35.52 | 37 |
| 2 0 0 | 41.25 | 31 |
| 1 1 2 | 42.87 | 49 |
| 0 0 4 | 47.45 | 18 |
| 2 0 2 | 47.86 | 100 |
| 1 0 4 | 52.10 | 25 |
| 2 2 0 | 75.19 | 24 |


[2]
Diffraction record for Lu5Co4Ge10. The XRD peak list is theoretical, not measured: it uses a structure optimized by DFT (PBE) and a wavelength of 1.5418 Å.
Lines closer than 0.1° are merged.

```
Lu5Co4Ge10
1.0
12.655 0.000 0.000
0.000 12.655 0.000
0.000 0.000 4.098
Lu Co Ge
10 8 20
direct
0.000 0.000 0.000
0.114 0.386 0.500
0.175 0.675 0.500
0.325 0.175 0.500
0.386 0.886 0.500
0.500 0.500 0.000
0.614 0.114 0.500
0.675 0.825 0.500
0.825 0.325 0.500
0.886 0.614 0.500
0.022 0.753 0.000
0.247 0.022 0.000
0.253 0.522 0.000
0.478 0.253 0.000
0.522 0.747 0.000
0.747 0.478 0.000
0.753 0.978 0.000
0.978 0.247 0.000
0.007 0.837 0.500
0.068 0.568 0.000
0.158 0.196 0.000
0.163 0.007 0.500
0.196 0.842 0.000
0.304 0.342 0.000
0.337 0.507 0.500
0.342 0.696 0.000
0.432 0.068 0.000
0.493 0.337 0.500
0.507 0.663 0.500
0.568 0.932 0.000
0.658 0.304 0.000
0.663 0.493 0.500
0.696 0.658 0.000
0.804 0.158 0.000
0.837 0.993 0.500
0.842 0.804 0.000
0.932 0.432 0.000
0.993 0.163 0.500
```

Largest 8 diffraction maxima, in order of rising 2θ, 10 to 90 degrees two-theta:
| h k l | 2θ (°) | I/Imax |
| --- | --- | --- |
| 3 2 1 | 33.62 | 53 |
| 4 0 1 | 35.86 | 41 |
| 5 1 0 | 36.19 | 32 |
| 4 1 1 | 36.58 | 31 |
| 3 3 1 | 37.29 | 100 |
| 4 2 1 | 38.67 | 20 |
| 6 1 0 | 43.50 | 19 |
| 0 0 2 | 44.20 | 42 |


[3]
Diffraction record for Lu3Co4Ge13. The XRD peak list is theoretical, not measured: it uses a structure optimized by DFT (PBE) and a wavelength of 1.5418 Å.
Lines closer than 0.1° are merged.

```
Lu3Co4Ge13
1.0
8.742 0.000 0.000
0.000 8.742 0.000
0.000 0.000 8.742
Lu Co Ge
6 8 26
direct
0.000 0.250 0.500
0.000 0.750 0.500
0.250 0.500 0.000
0.500 0.000 0.250
0.500 0.000 0.750
0.750 0.500 0.000
0.250 0.250 0.250
0.250 0.250 0.750
0.250 0.750 0.250
0.250 0.750 0.750
0.750 0.250 0.250
0.750 0.250 0.750
0.750 0.750 0.250
0.750 0.750 0.750
0.000 0.000 0.000
0.000 0.306 0.153
0.000 0.306 0.847
0.000 0.694 0.153
0.000 0.694 0.847
0.153 0.000 0.306
0.153 0.000 0.694
0.194 0.500 0.347
0.194 0.500 0.653
0.306 0.153 0.000
0.306 0.847 0.000
0.347 0.194 0.500
0.347 0.806 0.500
0.500 0.347 0.194
0.500 0.347 0.806
0.500 0.500 0.500
0.500 0.653 0.194
0.500 0.653 0.806
0.653 0.194 0.500
0.653 0.806 0.500
0.694 0.153 0.000
0.694 0.847 0.000
0.806 0.500 0.347
0.806 0.500 0.653
0.847 0.000 0.306
0.847 0.000 0.694
```

Largest 8 diffraction maxima, in order of rising 2θ, 10 to 90 degrees two-theta:
| h k l | 2θ (°) | I/Imax |
| --- | --- | --- |
| 2 1 0 | 22.75 | 17 |
| 2 2 2 | 35.58 | 11 |
| 3 2 0 | 37.08 | 100 |
| 3 2 1 | 38.53 | 39 |
| 4 0 0 | 41.31 | 24 |
| 4 3 3 | 61.89 | 11 |
| 5 3 2 | 65.86 | 14 |
| 6 2 2 | 71.60 | 15 |